No. 1
Computed X-ray powder pattern
Compound: Ho4AlZnCu2
Radiation: Cu Kα
Structure: the GGA-PBE geometry in Alexandria

Peak list (8 most intense, 5° ≤ 2θ ≤ 70°, low angle first)
2θ 10.88, I 1
2θ 25.28, I 27
2θ 36.05, I 100
2θ 44.54, I 8
2θ 49.70, I 1
2θ 51.90, I 17
2θ 58.59, I 11
2θ 64.82, I 35

Structure:
a = 8.623 Å, b = 8.623 Å, c = 8.623 Å
α = 33.60°, β = 33.60°, γ = 33.60°
Positions (direct):
Ho 0.123 0.123 0.123
Ho 0.373 0.373 0.373
Ho 0.627 0.627 0.627
Ho 0.877 0.877 0.877
Al 0.500 0.500 0.500
Zn 0.000 0.000 0.000
Cu 0.246 0.246 0.246
Cu 0.754 0.754 0.754

No. 2
Computed X-ray powder pattern
Compound: AlCuI2
Radiation: Cu Kα
Structure: the GGA-PBE geometry in Alexandria

Peak list (8 most intense, 5° ≤ 2θ ≤ 70°, low angle first)
2θ 15.20, I 33
2θ 25.77, I 100
2θ 27.87, I 22
2θ 33.07, I 30
2θ 39.99, I 14
2θ 42.39, I 29
2θ 43.78, I 22
2θ 46.90, I 29

Structure:
a = 7.037 Å, b = 7.037 Å, c = 7.037 Å
α = 114.04°, β = 114.04°, γ = 100.68°
Positions (direct):
Al 0.000 0.000 0.000
Al 0.750 0.250 0.500
Cu 0.250 0.750 0.500
Cu 0.500 0.500 0.000
I 0.189 0.625 0.064
I 0.375 0.439 0.564
I 0.561 0.125 0.936
I 0.875 0.811 0.436

No. 3
Computed X-ray powder pattern
Compound: AlInCu6
Radiation: Cu Kα
Structure: the GGA-PBE geometry in Alexandria

Peak list (8 most intense, 5° ≤ 2θ ≤ 70°, low angle first)
2θ 32.86, I 11
2θ 37.96, I 13
2θ 38.90, I 29
2θ 42.22, I 40
2θ 43.65, I 57
2θ 44.49, I 100
2θ 58.75, I 16
2θ 69.20, I 16

Structure:
a = 4.281 Å, b = 5.307 Å, c = 4.740 Å
α = 90.00°, β = 90.00°, γ = 90.00°
Positions (direct):
Al 0.000 0.000 0.000
In 0.500 0.500 0.684
Cu 0.000 0.237 0.497
Cu 0.000 0.500 0.040
Cu 0.000 0.763 0.497
Cu 0.500 0.000 0.685
Cu 0.500 0.238 0.183
Cu 0.500 0.762 0.183

No. 4
Computed X-ray powder pattern
Compound: Nd2Al4InCu3
Radiation: Cu Kα
Structure: the GGA-PBE geometry in Alexandria

Peak list (8 most intense, 5° ≤ 2θ ≤ 70°, low angle first)
2θ 22.37, I 22
2θ 30.66, I 21
2θ 32.99, I 57
2θ 34.11, I 100
2θ 42.11, I 46
2θ 48.18, I 26
2θ 54.50, I 27
2θ 61.06, I 28

Structure:
a = 4.292 Å, b = 4.292 Å, c = 10.519 Å
α = 90.00°, β = 90.00°, γ = 90.00°
Positions (direct):
Nd 0.000 0.500 0.239
Nd 0.500 0.000 0.761
Al 0.000 0.000 0.000
Al 0.000 0.500 0.653
Al 0.500 0.000 0.347
Al 0.500 0.500 0.000
In 0.000 0.000 0.500
Cu 0.000 0.500 0.880
Cu 0.500 0.000 0.120
Cu 0.500 0.500 0.500

No. 5
Computed X-ray powder pattern
Compound: AlInCuO4
Radiation: Cu Kα
Structure: the GGA-PBE geometry in Alexandria

Peak list (8 most intense, 5° ≤ 2θ ≤ 70°, low angle first)
2θ 10.52, I 50
2θ 21.12, I 44
2θ 31.28, I 100
2θ 31.91, I 47
2θ 34.24, I 81
2θ 35.92, I 67
2θ 47.94, I 48
2θ 55.28, I 54

Structure:
a = 8.629 Å, b = 8.629 Å, c = 8.629 Å
α = 22.21°, β = 22.21°, γ = 22.21°
Positions (direct):
Al 0.000 0.000 0.000
In 0.214 0.214 0.214
Cu 0.426 0.426 0.426
O 0.075 0.075 0.075
O 0.335 0.335 0.335
O 0.506 0.506 0.506
O 0.927 0.927 0.927

No. 6
Computed X-ray powder pattern
Compound: AlIn3Cu4Se8
Radiation: Cu Kα
Structure: the GGA-PBE geometry in Alexandria

Peak list (8 most intense, 5° ≤ 2θ ≤ 70°, low angle first)
2θ 26.54, I 100
2θ 27.62, I 2
2θ 35.39, I 3
2θ 44.03, I 72
2θ 52.07, I 15
2θ 52.19, I 28
2θ 63.88, I 4
2θ 64.10, I 7

Structure:
a = 5.812 Å, b = 7.131 Å, c = 10.880 Å
α = 77.27°, β = 74.52°, γ = 65.95°
Positions (direct):
Al 0.000 0.000 0.000
In 0.005 0.501 0.499
In 0.747 0.625 0.880
In 0.759 0.125 0.370
Cu 0.253 0.374 0.119
Cu 0.253 0.877 0.630
Cu 0.499 0.758 0.244
Cu 0.506 0.243 0.755
Se 0.145 0.292 0.940
Se 0.164 0.815 0.439
Se 0.346 0.693 0.074
Se 0.386 0.171 0.577
Se 0.597 0.560 0.690
Se 0.619 0.064 0.173
Se 0.878 0.458 0.293
Se 0.887 0.951 0.811

> Number 2 is which compound?

AlCuI2

Repeat the first record exactly.
Computed X-ray powder pattern
Compound: Ho4AlZnCu2
Radiation: Cu Kα
Structure: the GGA-PBE geometry in Alexandria

Peak list (8 most intense, 5° ≤ 2θ ≤ 70°, low angle first)
2θ 10.88, I 1
2θ 25.28, I 27
2θ 36.05, I 100
2θ 44.54, I 8
2θ 49.70, I 1
2θ 51.90, I 17
2θ 58.59, I 11
2θ 64.82, I 35

Structure:
a = 8.623 Å, b = 8.623 Å, c = 8.623 Å
α = 33.60°, β = 33.60°, γ = 33.60°
Positions (direct):
Ho 0.123 0.123 0.123
Ho 0.373 0.373 0.373
Ho 0.627 0.627 0.627
Ho 0.877 0.877 0.877
Al 0.500 0.500 0.500
Zn 0.000 0.000 0.000
Cu 0.246 0.246 0.246
Cu 0.754 0.754 0.754